Structure and calculated X-ray diffraction stick pattern of SmY4Bi5 (the PBE geometry in Alexandria; Cu Kα X-rays).
Peak positions follow from Bragg's law for the DFT cell and can differ from measured ones.

Atomic structure:
a = 11.900 Å, b = 11.900 Å, c = 11.900 Å
α = 158.21°, β = 149.00°, γ = 38.21°
Fractional positions:
Sm1 0.000 0.000 0.000
Y1 0.201 0.201 0.000
Y2 0.400 0.400 0.000
Y3 0.600 0.600 0.000
Y4 0.799 0.799 0.000
Bi1 0.102 0.602 0.500
Bi2 0.300 0.800 0.500
Bi3 0.500 0.000 0.500
Bi4 0.700 0.200 0.500
Bi5 0.898 0.398 0.500

Principal peaks in the range 10 to 90 degrees two-theta, in order of rising 2θ:
2θ 24.24, d = 3.672 Å, rel. 20
2θ 28.06, d = 3.180 Å, rel. 100
2θ 40.10, d = 2.249 Å, rel. 78
2θ 47.41, d = 1.918 Å, rel. 12
2θ 49.65, d = 1.836 Å, rel. 28
2θ 58.00, d = 1.590 Å, rel. 13
2θ 63.79, d = 1.459 Å, rel. 5
2θ 65.65, d = 1.422 Å, rel. 37
2θ 72.85, d = 1.298 Å, rel. 27
2θ 86.57, d = 1.124 Å, rel. 9